No. 1
# CsLiMg14O15
Simulated X-ray diffraction stick pattern, Cu Kα (weighted mean of Kα1 and Kα2). Input: DFT lattice parameters and positions (PBE).

Main lines, by angle (2θ = 5–70°):
2θ/deg, Rel. int.
10.0, 40.8
10.4, 33.3
14.5, 47.5
23.2, 29.1
25.0, 35.1
29.2, 33.8
31.0, 40.3
35.7, 50.6
41.0, 92.8
41.2, 100.0
42.4, 41.3
59.5, 54.0

Crystal structure
```
CsLiMg14O15
1.0
4.3854 0.0000 0.0000
0.0000 8.8089 0.0000
0.0000 0.0000 8.5329
Cs Li Mg O
1 1 14 15
direct
0.0000 0.0000 0.0000
0.0000 0.5000 0.1169
0.0000 0.0000 0.5754
0.0000 0.2514 0.3387
0.0000 0.2855 0.8580
0.0000 0.5000 0.5960
0.0000 0.7145 0.8580
0.0000 0.7486 0.3387
0.5000 0.0000 0.3407
0.5000 0.0000 0.8334
0.5000 0.2518 0.6001
0.5000 0.2661 0.1069
0.5000 0.5000 0.3468
0.5000 0.5000 0.8573
0.5000 0.7339 0.1069
0.5000 0.7482 0.6001
0.0000 0.0000 0.3513
0.0000 0.2352 0.6164
0.0000 0.2742 0.1002
0.0000 0.5000 0.3654
0.0000 0.5000 0.8317
0.0000 0.7258 0.1002
0.0000 0.7648 0.6164
0.5000 0.0000 0.1105
0.5000 0.0000 0.6047
0.5000 0.2410 0.8526
0.5000 0.2514 0.3553
0.5000 0.5000 0.0982
0.5000 0.5000 0.6060
0.5000 0.7486 0.3553
0.5000 0.7590 0.8526
```

No. 2
# CsLiMnS2
Simulated X-ray diffraction stick pattern, Cu Kα (weighted mean of Kα1 and Kα2). Input: DFT lattice parameters and positions (PBE).

Main lines, by angle (2θ = 5–70°):
2θ/deg, Rel. int.
22.3, 49.9
25.2, 17.8
28.6, 100.0
30.4, 18.9
33.0, 44.3
38.5, 16.2
43.5, 24.4
49.4, 12.1
49.6, 31.9
50.9, 10.4
52.9, 32.9
63.3, 9.0

Crystal structure
```
CsLiMnS2
1.0
-2.0819 2.0819 7.0665
2.0819 -2.0819 7.0665
2.0819 2.0819 -7.0665
Cs Li Mn S
1 1 1 2
direct
0.0000 0.0000 0.0000
0.2500 0.7500 0.5000
0.7500 0.2500 0.5000
0.3412 0.3412 0.0000
0.6588 0.6588 0.0000
```

No. 3
# CsLiN2
Simulated X-ray diffraction stick pattern, Cu Kα (weighted mean of Kα1 and Kα2). Input: DFT lattice parameters and positions (PBE).

Main lines, by angle (2θ = 5–70°):
2θ/deg, Rel. int.
16.3, 50.4
20.5, 100.0
23.8, 75.8
27.4, 79.6
27.8, 71.9
28.9, 30.9
31.1, 22.6
32.6, 67.8
42.0, 29.1
43.8, 23.1
48.0, 21.6
50.3, 36.7

Crystal structure
```
CsLiN2
1.0
3.2723 -5.7594 0.0000
3.2723 5.7594 0.0000
-1.7360 0.0000 4.9107
Cs Li N
2 2 4
direct
0.1546 0.8454 0.7500
0.8454 0.1546 0.2500
0.4840 0.5160 0.2500
0.5160 0.4840 0.7500
0.2344 0.4324 0.8939
0.4324 0.2344 0.3939
0.5676 0.7656 0.6061
0.7656 0.5676 0.1061
```

No. 4
# Cs2LiNbS4
Simulated X-ray diffraction stick pattern, Cu Kα (weighted mean of Kα1 and Kα2). Input: DFT lattice parameters and positions (PBE).

Main lines, by angle (2θ = 5–70°):
2θ/deg, Rel. int.
15.8, 33.9
19.8, 35.9
20.8, 41.9
23.7, 76.1
24.1, 98.3
24.6, 34.3
25.6, 51.0
26.5, 60.2
27.1, 100.0
27.8, 38.9
31.2, 48.3
43.8, 32.9

Crystal structure
```
Cs2LiNbS4
1.0
7.0277 0.0000 0.0000
-0.1728 7.4556 0.0000
-0.4475 -1.2277 9.8785
Cs Li Nb S
4 2 2 8
direct
0.1291 0.2014 0.1569
0.3014 0.7541 0.5063
0.6986 0.2459 0.4937
0.8709 0.7986 0.8431
0.4035 0.6775 0.0715
0.5965 0.3225 0.9285
0.2166 0.2923 0.7501
0.7834 0.7077 0.2499
0.0838 0.7004 0.1688
0.1984 0.2524 0.5189
0.3789 0.0628 0.8305
0.3949 0.5532 0.8252
0.6051 0.4468 0.1748
0.6211 0.9372 0.1695
0.8016 0.7476 0.4811
0.9162 0.2996 0.8312
```

No. 5
# CsLiTaP2O8
Simulated X-ray diffraction stick pattern, Cu Kα (weighted mean of Kα1 and Kα2). Input: DFT lattice parameters and positions (PBE).

Main lines, by angle (2θ = 5–70°):
2θ/deg, Rel. int.
9.2, 100.0
18.5, 45.2
19.8, 94.7
20.8, 74.3
20.9, 67.5
25.7, 99.7
28.7, 68.7
30.8, 24.3
32.6, 34.8
34.0, 31.5
35.3, 30.7
35.8, 31.9

Crystal structure
```
CsLiTaP2O8
1.0
5.1004 0.0000 0.0000
2.3757 4.5136 0.0000
1.7250 1.0516 9.5737
Cs Li Ta P O
1 1 1 2 8
direct
0.0000 0.0000 0.0000
0.8098 0.8073 0.7161
0.9319 0.9305 0.4373
0.3138 0.3130 0.2622
0.5426 0.5406 0.6269
0.1591 0.1581 0.3777
0.1668 0.6463 0.2895
0.2047 0.6853 0.6052
0.2867 0.2864 0.1147
0.5842 0.5817 0.7715
0.6471 0.1660 0.2895
0.6873 0.2027 0.6052
0.6977 0.6961 0.5137
```

No. 6
# CsLiTaP2O8
Simulated X-ray diffraction stick pattern, Cu Kα (weighted mean of Kα1 and Kα2). Input: DFT lattice parameters and positions (PBE).

Main lines, by angle (2θ = 5–70°):
2θ/deg, Rel. int.
10.8, 56.3
18.7, 58.3
19.4, 88.3
19.9, 100.0
21.7, 49.7
27.2, 64.7
29.0, 37.2
29.5, 60.4
30.2, 43.2
32.8, 40.8
33.8, 40.5
35.0, 38.2

Crystal structure
```
CsLiTaP2O8
1.0
5.1289 0.0000 0.0000
2.4305 4.7764 0.0000
0.2675 0.8532 8.2020
Cs Li Ta P O
1 1 1 2 8
direct
0.0000 0.0000 0.0000
0.7898 0.5205 0.1481
0.9776 0.0660 0.5320
0.3059 0.4470 0.3402
0.6337 0.6749 0.7348
0.1726 0.7638 0.3757
0.1950 0.4349 0.1732
0.2194 0.2752 0.4741
0.2972 0.8217 0.7012
0.6502 0.3281 0.3409
0.6858 0.6566 0.9186
0.7603 0.3713 0.6807
0.7685 0.8414 0.6299
```

No. 7
# Cs2Li14Pb3O14
Simulated X-ray diffraction stick pattern, Cu Kα (weighted mean of Kα1 and Kα2). Input: DFT lattice parameters and positions (PBE).

Main lines, by angle (2θ = 5–70°):
2θ/deg, Rel. int.
16.1, 100.0
21.7, 54.1
23.5, 16.3
27.1, 26.7
27.3, 25.2
31.7, 24.9
33.5, 39.3
35.0, 60.7
38.1, 22.4
44.8, 18.4
47.4, 15.7
57.6, 19.5

Crystal structure
```
Cs2Li14Pb3O14
1.0
-3.6996 4.0947 6.5927
3.6996 -4.0947 6.5927
3.6996 4.0947 -6.5927
Cs Li Pb O
2 14 3 14
direct
0.0000 0.2371 0.2371
0.0000 0.7629 0.7629
0.0811 0.2279 0.8532
0.2116 0.1376 0.6201
0.2116 0.5915 0.0740
0.3427 0.5000 0.8427
0.3747 0.2279 0.1468
0.4825 0.4085 0.6201
0.4825 0.8624 0.0740
0.5175 0.1376 0.9260
0.5175 0.5915 0.3799
0.6253 0.7721 0.8532
0.6573 0.5000 0.1573
0.7884 0.4085 0.9260
0.7884 0.8624 0.3799
0.9189 0.7721 0.1468
0.2290 0.7290 0.5000
0.5000 0.0000 0.5000
0.7710 0.2710 0.5000
0.0886 0.3687 0.7198
0.1900 0.8724 0.3176
0.2493 0.0416 0.7922
0.2493 0.4571 0.2078
0.3511 0.6313 0.7198
0.4452 0.1276 0.3176
0.5000 0.2959 0.7959
0.5000 0.7041 0.2041
0.5548 0.8724 0.6824
0.6489 0.3687 0.2802
0.7507 0.5429 0.7922
0.7507 0.9584 0.2078
0.8100 0.1276 0.6824
0.9114 0.6313 0.2802
```

No. 8
# CsLiSO4
Simulated X-ray diffraction stick pattern, Cu Kα (weighted mean of Kα1 and Kα2). Input: DFT lattice parameters and positions (PBE).

Main lines, by angle (2θ = 5–70°):
2θ/deg, Rel. int.
18.5, 33.1
26.4, 35.5
27.1, 43.8
27.3, 100.0
29.3, 13.3
32.0, 26.5
32.4, 20.1
37.5, 16.3
38.0, 14.6
38.4, 14.3
40.5, 14.3
54.8, 13.5

Crystal structure
```
CsLiSO4
1.0
8.9112 0.0000 0.0000
0.0000 5.5217 0.0000
0.0000 0.0000 9.7247
Cs Li S O
4 4 4 16
direct
0.0027 0.2500 0.2100
0.4973 0.7500 0.7100
0.5027 0.2500 0.2900
0.9973 0.7500 0.7900
0.1750 0.7500 0.4184
0.3250 0.2500 0.9184
0.6750 0.7500 0.0816
0.8250 0.2500 0.5816
0.2085 0.2500 0.5829
0.2915 0.7500 0.0829
0.7085 0.2500 0.9171
0.7915 0.7500 0.4171
0.0422 0.2500 0.5848
0.2329 0.7500 0.2262
0.2347 0.5300 0.0098
0.2347 0.9700 0.0098
0.2653 0.0300 0.5098
0.2653 0.4700 0.5098
0.2671 0.2500 0.7262
0.4578 0.7500 0.0848
0.5422 0.2500 0.9152
0.7329 0.7500 0.2738
0.7347 0.5300 0.4902
0.7347 0.9700 0.4902
0.7653 0.0300 0.9902
0.7653 0.4700 0.9902
0.7671 0.2500 0.7738
0.9578 0.7500 0.4152
```